ScTlMo2O8: computed powder diffraction line list (Cu Kα, 1.54184 Å), based on a structure optimized by DFT (GGA+U).
Lines closer than 0.1° are merged.

Crystal structure
Cell lengths 15.803, 5.896, 9.290 Å; angles 90.00, 90.00, 90.00 degrees
Positions (direct):
Sc1 0.123 0.250 0.173
Sc2 0.377 0.750 0.673
Sc3 0.623 0.250 0.327
Sc4 0.877 0.750 0.827
Tl1 0.125 0.750 0.577
Tl2 0.375 0.250 0.077
Tl3 0.625 0.750 0.923
Tl4 0.875 0.250 0.423
Mo1 0.024 0.250 0.791
Mo2 0.219 0.750 0.982
Mo3 0.281 0.250 0.482
Mo4 0.476 0.750 0.291
Mo5 0.524 0.250 0.709
Mo6 0.719 0.750 0.518
Mo7 0.781 0.250 0.018
Mo8 0.976 0.750 0.209
O1 0.041 0.503 0.246
O2 0.041 0.997 0.246
O3 0.062 0.250 0.974
O4 0.110 0.250 0.671
O5 0.133 0.750 0.863
O6 0.186 0.250 0.373
O7 0.212 0.005 0.091
O8 0.212 0.495 0.091
O9 0.288 0.505 0.591
O10 0.288 0.995 0.591
O11 0.314 0.750 0.873
O12 0.367 0.250 0.363
O13 0.390 0.750 0.171
O14 0.438 0.750 0.474
O15 0.459 0.003 0.746
O16 0.459 0.497 0.746
O17 0.541 0.503 0.254
O18 0.541 0.997 0.254
O19 0.562 0.250 0.526
O20 0.610 0.250 0.829
O21 0.633 0.750 0.637
O22 0.686 0.250 0.127
O23 0.712 0.005 0.409
O24 0.712 0.495 0.409
O25 0.788 0.505 0.909
O26 0.788 0.995 0.909
O27 0.814 0.750 0.627
O28 0.867 0.250 0.137
O29 0.890 0.750 0.329
O30 0.938 0.750 0.026
O31 0.959 0.003 0.754
O32 0.959 0.497 0.754

Largest 6 diffraction maxima, by intensity, 10 to 90 degrees two-theta:
- 24.60 deg, d = 3.618 Å, intensity 100.0
- 26.91 deg, d = 3.313 Å, intensity 53.7
- 30.32 deg, d = 2.948 Å, intensity 50.4
- 22.20 deg, d = 4.004 Å, intensity 48.1
- 28.85 deg, d = 3.095 Å, intensity 48.0
- 32.66 deg, d = 2.742 Å, intensity 41.0